Record 1
Structure and theoretical PXRD pattern of SrGeS3 (a structure optimized by DFT (GGA-PBE); a wavelength of 1.5418 Å).
No peak broadening, texture or thermal motion is included.

Principal peaks in the range 10 to 90 degrees two-theta, in order of falling intensity:
| 2theta | d_spacing | Rel. int. | (hkl) |
| --- | --- | --- | --- |
| 30.9 | 2.897 | 100 | 2 2 -1 |
| 31.9 | 2.805 | 84 | 3 1 1 |
| 24.7 | 3.606 | 66 | 2 2 0 |
| 36.4 | 2.466 | 63 | 1 3 1 |
| 24.5 | 3.637 | 54 | 3 1 0 |
| 22.4 | 3.973 | 53 | 1 1 -1 |

Crystal structure
```
data_SrGeS3
_cell_length_a 11.929
_cell_length_b 9.063
_cell_length_c 4.669
_cell_angle_alpha 90.00
_cell_angle_beta 92.99
_cell_angle_gamma 90.00
_space_group_name_H-M_alt 'C 1 2/m 1'
_space_group_IT_number 12
loop_
_space_group_symop_operation_xyz
'x,y,z'
'-x,-y,-z'
'-x,y,-z'
'x,-y,z'
'x+1/2,y+1/2,z'
'-x+1/2,-y+1/2,-z'
'-x+1/2,y+1/2,-z'
'x+1/2,-y+1/2,z'
loop_
_atom_site_label
_atom_site_type_symbol
_atom_site_fract_x
_atom_site_fract_y
_atom_site_fract_z
Sr1 Sr 0.213 0.000 0.257
Ge1 Ge 0.000 0.325 0.500
S1 S 0.099 0.500 0.263
S2 S 0.133 0.205 0.741
```

Record 2
Structure and theoretical PXRD pattern of Ir2Ru3Rh6 (a structure optimized by DFT (GGA-PBE); a wavelength of 1.5418 Å).
No peak broadening, texture or thermal motion is included.

Principal peaks in the range 10 to 90 degrees two-theta, in order of falling intensity:
| 2theta | d_spacing | Rel. int. | (hkl) |
| --- | --- | --- | --- |
| 40.7 | 2.217 | 100 | 0 1 2 |
| 47.3 | 1.920 | 48 | 2 0 1 |
| 69.2 | 1.358 | 30 | 1 3 1 |
| 83.5 | 1.158 | 24 | 3 2 0 |
| 83.5 | 1.157 | 12 | 2 -5 2 |
| 88.1 | 1.109 | 11 | 2 4 -2 |

Crystal structure
```
data_Ir2Ru3Rh6
_cell_length_a 4.703
_cell_length_b 6.068
_cell_length_c 6.073
_cell_angle_alpha 107.48
_cell_angle_beta 97.38
_cell_angle_gamma 104.93
_space_group_name_H-M_alt 'P -1'
_space_group_IT_number 2
loop_
_space_group_symop_operation_xyz
'x,y,z'
'-x,-y,-z'
loop_
_atom_site_label
_atom_site_type_symbol
_atom_site_fract_x
_atom_site_fract_y
_atom_site_fract_z
Ir1 Ir 0.044 0.184 0.412
Ru1 Ru 0.131 0.546 0.225
Ru2 Ru 0.500 0.000 0.500
Rh1 Rh 0.225 0.906 0.045
Rh2 Rh 0.318 0.272 0.858
Rh3 Rh 0.409 0.635 0.680
```

Record 3
Structure and theoretical PXRD pattern of Ce2GaSnRu (a structure optimized by DFT (GGA-PBE); a wavelength of 1.5418 Å).
No peak broadening, texture or thermal motion is included.

Principal peaks in the range 10 to 90 degrees two-theta, in order of falling intensity:
| 2theta | d_spacing | Rel. int. | (hkl) |
| --- | --- | --- | --- |
| 30.3 | 2.946 | 100 | 0 1 2 |
| 34.6 | 2.589 | 70 | 2 1 -2 |
| 39.5 | 2.283 | 62 | 2 1 1 |
| 29.5 | 3.030 | 45 | 1 1 -2 |
| 41.9 | 2.156 | 45 | 0 2 0 |
| 33.3 | 2.690 | 35 | 0 0 3 |

Crystal structure
```
data_Ce2GaSnRu
_cell_length_a 7.121
_cell_length_b 4.311
_cell_length_c 8.770
_cell_angle_alpha 90.00
_cell_angle_beta 113.05
_cell_angle_gamma 90.00
_space_group_name_H-M_alt 'P 1 21/m 1'
_space_group_IT_number 11
loop_
_space_group_symop_operation_xyz
'x,y,z'
'-x,-y,-z'
'-x,y+1/2,-z'
'x,-y+1/2,z'
loop_
_atom_site_label
_atom_site_type_symbol
_atom_site_fract_x
_atom_site_fract_y
_atom_site_fract_z
Ce1 Ce 0.185 0.250 0.355
Ce2 Ce 0.276 0.250 0.954
Ga1 Ga 0.456 0.750 0.273
Sn1 Sn 0.288 0.750 0.663
Ru1 Ru 0.084 0.750 0.093
```

Record 4
Structure and theoretical PXRD pattern of SrLi3Pb3 (a structure optimized by DFT (GGA-PBE); a wavelength of 1.5418 Å).
No peak broadening, texture or thermal motion is included.

Principal peaks in the range 10 to 90 degrees two-theta, in order of falling intensity:
| 2theta | d_spacing | Rel. int. | (hkl) |
| --- | --- | --- | --- |
| 26.6 | 3.354 | 100 | 2 1 0 |
| 29.2 | 3.061 | 45 | 2 1 1 |
| 43.5 | 2.080 | 28 | 3 2 0 |
| 45.2 | 2.004 | 27 | 3 2 1 |
| 56.2 | 1.636 | 26 | 4 2 1 |
| 67.2 | 1.392 | 24 | 5 2 0 |

Crystal structure
```
data_SrLi3Pb3
_cell_length_a 7.499
_cell_length_b 7.499
_cell_length_c 7.499
_cell_angle_alpha 90.00
_cell_angle_beta 90.00
_cell_angle_gamma 90.00
_space_group_name_H-M_alt 'P m -3 n'
_space_group_IT_number 223
_space_group_name_Hall '-P 4n 2 3'
loop_
_atom_site_label
_atom_site_type_symbol
_atom_site_fract_x
_atom_site_fract_y
_atom_site_fract_z
Sr1 Sr 0.000 0.000 0.000
Li1 Li 0.000 0.250 0.500
Pb1 Pb 0.000 0.500 0.250
```

Record 5
Structure and theoretical PXRD pattern of TbSmHo5 (a structure optimized by DFT (GGA-PBE); a wavelength of 1.5418 Å).
No peak broadening, texture or thermal motion is included.

Principal peaks in the range 10 to 90 degrees two-theta, in order of falling intensity:
| 2theta | d_spacing | Rel. int. | (hkl) |
| --- | --- | --- | --- |
| 31.4 | 2.851 | 100 | 0 0 4 |
| 30.8 | 2.904 | 98 | 0 2 2 |
| 31.1 | 2.875 | 96 | 3 1 1 |
| 30.6 | 2.923 | 75 | 3 1 -3 |
| 33.5 | 2.673 | 42 | 2 2 1 |
| 35.7 | 2.518 | 38 | 2 2 -3 |

Crystal structure
```
data_TbSmHo5
_cell_length_a 11.648
_cell_length_b 6.743
_cell_length_c 12.134
_cell_angle_alpha 90.00
_cell_angle_beta 109.96
_cell_angle_gamma 90.00
_space_group_name_H-M_alt 'C 1 2/c 1'
_space_group_IT_number 15
loop_
_space_group_symop_operation_xyz
'x,y,z'
'-x,-y,-z'
'-x,y,-z+1/2'
'x,-y,z+1/2'
'x+1/2,y+1/2,z'
'-x+1/2,-y+1/2,-z'
'-x+1/2,y+1/2,-z+1/2'
'x+1/2,-y+1/2,z+1/2'
loop_
_atom_site_label
_atom_site_type_symbol
_atom_site_fract_x
_atom_site_fract_y
_atom_site_fract_z
Tb1 Tb 0.250 0.250 0.000
Sm1 Sm 0.000 0.027 0.250
Ho1 Ho 0.000 0.413 0.750
Ho2 Ho 0.078 0.270 0.500
Ho3 Ho 0.220 0.362 0.248
```

Record 6
Structure and theoretical PXRD pattern of Ti2Si6W (a structure optimized by DFT (GGA-PBE); a wavelength of 1.5418 Å).
No peak broadening, texture or thermal motion is included.

Principal peaks in the range 10 to 90 degrees two-theta, in order of falling intensity:
| 2theta | d_spacing | Rel. int. | (hkl) |
| --- | --- | --- | --- |
| 40.8 | 2.213 | 100 | 2 0 1 |
| 25.8 | 3.456 | 90 | 0 2 1 |
| 47.7 | 1.908 | 63 | 2 0 2 |
| 21.8 | 4.075 | 46 | 1 1 0 |
| 13.6 | 6.522 | 42 | 0 0 1 |
| 35.2 | 2.546 | 41 | 0 2 2 |

Crystal structure
```
data_Ti2Si6W
_cell_length_a 4.707
_cell_length_b 8.146
_cell_length_c 6.522
_cell_angle_alpha 90.00
_cell_angle_beta 90.00
_cell_angle_gamma 90.00
_space_group_name_H-M_alt 'C 2 2 2'
_space_group_IT_number 21
loop_
_space_group_symop_operation_xyz
'x,y,z'
'-x,-y,z'
'x,-y,-z'
'-x,y,-z'
'x+1/2,y+1/2,z'
'-x+1/2,-y+1/2,z'
'x+1/2,-y+1/2,-z'
'-x+1/2,y+1/2,-z'
loop_
_atom_site_label
_atom_site_type_symbol
_atom_site_fract_x
_atom_site_fract_y
_atom_site_fract_z
Ti1 Ti 0.250 0.250 0.167
Si1 Si 0.000 0.334 0.500
Si2 Si 0.237 0.419 0.834
W1 W 0.000 0.000 0.500
```